Record 1
Structure and simulated XRD peak list of LaPm2SmSe4 (a GGA-PBE-relaxed structure; Cu Kα, 1.54184 Å).
Kinematic intensities with the Lorentz-polarization factor, no thermal factor.

Main lines, in order of rising 2θ (2θ = 5–70°):
d [Å]  Rel. int.
3.473  4.1
3.458  4.0
3.426  7.9
2.984  100.0
2.128  12.7
2.114  25.0
2.107  24.8
2.092  12.1
1.737  6.7
1.729  6.7
1.713  12.9
1.492  12.2

Structural model:
Lattice parameters (Å, degrees): 7.3173 4.1834 7.3482 90.00 109.04 90.00
Fractional positions:
La1 0.0000 0.0000 0.0000
Pm1 0.5000 0.0000 0.5000
Pm2 0.5000 0.5000 0.0000
Sm1 0.0000 0.5000 0.5000
Se1 0.2509 0.0000 0.7460
Se2 0.2544 0.5000 0.2560
Se3 0.7456 0.5000 0.7440
Se4 0.7491 0.0000 0.2540

---

Record 2
Structure and simulated XRD peak list of LaPmTeSe (a GGA-PBE-relaxed structure; Cu Kα, 1.54184 Å).
Kinematic intensities with the Lorentz-polarization factor, no thermal factor.

Main lines, in order of rising 2θ (2θ = 5–70°):
d [Å]  Rel. int.
3.577  3.7
3.106  100.0
2.854  6.0
2.205  34.1
2.188  38.9
1.807  5.0
1.788  20.1
1.620  5.0
1.553  11.2
1.527  3.4
1.393  12.7
1.385  17.1

Structural model:
Lattice parameters (Å, degrees): 7.6584 7.6584 7.6584 33.19 33.19 33.19
Fractional positions:
La1 0.0000 0.0000 0.0000
Pm1 0.5199 0.5199 0.5199
Te1 0.7622 0.7622 0.7622
Se1 0.2570 0.2570 0.2570

---

Record 3
Structure and simulated XRD peak list of La2Pm3ThSe6 (a GGA-PBE-relaxed structure; Cu Kα, 1.54184 Å).
Kinematic intensities with the Lorentz-polarization factor, no thermal factor.

Main lines, in order of rising 2θ (2θ = 5–70°):
d [Å]  Rel. int.
8.976  1.6
3.469  5.0
3.454  14.9
2.995  100.0
2.121  37.6
2.114  37.3
1.810  2.6
1.805  6.7
1.735  6.7
1.727  19.8
1.497  12.3
1.372  2.1

Structural model:
Lattice parameters (Å, degrees): 9.4726 9.4726 8.4865 103.22 103.22 25.81
Fractional positions:
La1 0.1645 0.1645 0.3303
La2 0.8355 0.8355 0.6697
Pm1 0.1668 0.1668 0.8352
Pm2 0.5000 0.5000 0.5000
Pm3 0.8332 0.8332 0.1648
Th1 0.5000 0.5000 0.0000
Se1 0.0030 0.0030 0.7495
Se2 0.3328 0.3328 0.9217
Se3 0.3339 0.3339 0.4120
Se4 0.6661 0.6661 0.5880
Se5 0.6672 0.6672 0.0783
Se6 0.9970 0.9970 0.2505

---

Record 4
Structure and simulated XRD peak list of La3PmTh4Se8 (a GGA-PBE-relaxed structure; Cu Kα, 1.54184 Å).
Kinematic intensities with the Lorentz-polarization factor, no thermal factor.

Main lines, in order of rising 2θ (2θ = 5–70°):
d [Å]  Rel. int.
7.044  6.0
3.588  3.8
3.522  7.4
3.442  21.0
2.998  100.0
2.138  38.8
2.102  36.9
1.805  7.3
1.761  7.1
1.721  19.8
1.499  12.6
1.350  17.8

Structural model:
Lattice parameters (Å, degrees): 8.5546 8.5546 8.5546 58.87 58.87 58.87
Fractional positions:
La1 0.0000 0.5000 0.5000
La2 0.5000 0.0000 0.5000
La3 0.5000 0.5000 0.0000
Pm1 0.0000 0.0000 0.0000
Th1 0.0000 0.0000 0.5000
Th2 0.0000 0.5000 0.0000
Th3 0.5000 0.0000 0.0000
Th4 0.5000 0.5000 0.5000
Se1 0.2458 0.7515 0.7515
Se2 0.2485 0.2485 0.7542
Se3 0.2485 0.7542 0.2485
Se4 0.2487 0.2487 0.2487
Se5 0.7513 0.7513 0.7513
Se6 0.7515 0.2458 0.7515
Se7 0.7515 0.7515 0.2458
Se8 0.7542 0.2485 0.2485

---

Record 5
Structure and simulated XRD peak list of LaPm6Si4 (a GGA-PBE-relaxed structure; Cu Kα, 1.54184 Å).
Kinematic intensities with the Lorentz-polarization factor, no thermal factor.

Main lines, in order of rising 2θ (2θ = 5–70°):
d [Å]  Rel. int.
3.887  49.9
3.323  59.8
3.306  100.0
3.171  62.9
2.739  30.7
2.515  27.1
2.464  31.5
2.452  70.2
2.248  32.2
1.854  26.3
1.827  29.0
1.427  27.2

Structural model:
Lattice parameters (Å, degrees): 7.7763 7.7763 7.7763 120.24 120.24 89.58
Fractional positions:
La1 0.0000 0.0000 0.0000
Pm1 0.0000 0.5000 0.5000
Pm2 0.1725 0.1725 0.6890
Pm3 0.4835 0.4835 0.3110
Pm4 0.5000 0.0000 0.5000
Pm5 0.5165 0.8275 0.0000
Pm6 0.8275 0.5165 0.0000
Si1 0.1871 0.6273 0.0000
Si2 0.3727 0.3727 0.5598
Si3 0.6273 0.1871 0.0000
Si4 0.8129 0.8129 0.4402

---

Record 6
Structure and simulated XRD peak list of LaPm3Si (a GGA-PBE-relaxed structure; Cu Kα, 1.54184 Å).
Kinematic intensities with the Lorentz-polarization factor, no thermal factor.

Main lines, in order of rising 2θ (2θ = 5–70°):
d [Å]  Rel. int.
3.413  50.7
3.348  23.2
3.176  78.2
3.147  48.0
3.041  100.0
2.794  77.6
2.694  86.0
2.674  34.8
2.536  25.0
1.642  38.7
1.594  37.6
1.574  37.4

Structural model:
Lattice parameters (Å, degrees): 6.6965 10.1449 9.2249 90.00 90.00 90.00
Fractional positions:
La1 0.2503 0.2500 0.1305
La2 0.2497 0.7500 0.6305
La3 0.7503 0.2500 0.3695
La4 0.7497 0.7500 0.8695
Pm1 0.1229 0.0549 0.8202
Pm2 0.1229 0.4451 0.8202
Pm3 0.2344 0.2500 0.5156
Pm4 0.2656 0.7500 0.0156
Pm5 0.3771 0.5549 0.3202
Pm6 0.3771 0.9451 0.3202
Pm7 0.6229 0.0549 0.6798
Pm8 0.6229 0.4451 0.6798
Pm9 0.7344 0.2500 0.9844
Pm10 0.7656 0.7500 0.4844
Pm11 0.8771 0.5549 0.1798
Pm12 0.8771 0.9451 0.1798
Si1 0.0000 0.0000 0.5000
Si2 0.0000 0.5000 0.5000
Si3 0.5000 0.0000 0.0000
Si4 0.5000 0.5000 0.0000

---

Record 7
Structure and simulated XRD peak list of LaPmSi2 (a GGA-PBE-relaxed structure; Cu Kα, 1.54184 Å).
Kinematic intensities with the Lorentz-polarization factor, no thermal factor.

Main lines, in order of rising 2θ (2θ = 5–70°):
d [Å]  Rel. int.
4.174  34.7
3.216  62.0
2.869  100.0
2.856  57.5
2.769  28.9
2.315  34.0
2.253  24.7
1.975  16.6
1.846  27.2
1.776  21.0
1.625  21.2
1.392  17.1

Structural model:
Lattice parameters (Å, degrees): 3.9510 5.9787 5.9787 44.28 90.00 90.00
Fractional positions:
La1 0.0000 0.0000 0.0000
Pm1 0.5000 0.7199 0.7199
Si1 0.0000 0.2861 0.2861
Si2 0.5000 0.4267 0.4267

---

Record 8
Structure and simulated XRD peak list of La2PmSi6 (a GGA-PBE-relaxed structure; Cu Kα, 1.54184 Å).
Kinematic intensities with the Lorentz-polarization factor, no thermal factor.

Main lines, in order of rising 2θ (2θ = 5–70°):
d [Å]  Rel. int.
4.260  11.2
3.590  43.0
2.745  100.0
2.130  10.9
2.073  30.0
1.864  8.0
1.832  13.4
1.795  6.3
1.654  21.6
1.485  20.5
1.373  5.2
1.357  5.0

Structural model:
Lattice parameters (Å, degrees): 7.1798 7.1798 4.2600 90.00 90.00 120.00
Fractional positions:
La1 0.3333 0.6667 0.0000
La2 0.6667 0.3333 0.0000
Pm1 0.0000 0.0000 0.0000
Si1 0.0000 0.3312 0.5000
Si2 0.0000 0.6688 0.5000
Si3 0.3312 0.0000 0.5000
Si4 0.3312 0.3312 0.5000
Si5 0.6688 0.0000 0.5000
Si6 0.6688 0.6688 0.5000

---

Record 9
Structure and simulated XRD peak list of LaPmSi2 (a GGA-PBE-relaxed structure; Cu Kα, 1.54184 Å).
Kinematic intensities with the Lorentz-polarization factor, no thermal factor.

Main lines, in order of rising 2θ (2θ = 5–70°):
d [Å]  Rel. int.
4.157  25.3
3.411  31.5
3.305  38.8
3.072  100.0
2.871  72.8
2.808  83.0
2.587  44.8
2.513  49.2
2.292  40.2
1.985  24.7
1.808  33.3
1.621  31.9

Structural model:
Lattice parameters (Å, degrees): 3.9707 5.9656 8.3140 90.00 90.00 90.00
Fractional positions:
La1 0.0000 0.1346 0.0000
La2 0.0000 0.8654 0.5000
Pm1 0.5000 0.3642 0.6396
Pm2 0.5000 0.6358 0.1396
Si1 0.0000 0.3754 0.3553
Si2 0.0000 0.6246 0.8553
Si3 0.5000 0.1374 0.2867
Si4 0.5000 0.8626 0.7867

---

Record 10
Structure and simulated XRD peak list of La3Pm2Si4 (a GGA-PBE-relaxed structure; Cu Kα, 1.54184 Å).
Kinematic intensities with the Lorentz-polarization factor, no thermal factor.

Main lines, in order of rising 2θ (2θ = 5–70°):
d [Å]  Rel. int.
3.845  31.3
3.544  53.1
3.478  31.6
3.124  37.1
2.939  68.7
2.909  38.2
2.770  100.0
2.763  77.5
2.514  35.2
2.507  30.2
1.931  48.0
1.733  41.4

Structural model:
Lattice parameters (Å, degrees): 7.9185 7.9769 7.9602 90.00 103.80 90.00
Fractional positions:
La1 0.0000 0.0000 0.0000
La2 0.0000 0.5000 0.5000
La3 0.2635 0.1830 0.7436
La4 0.2635 0.3170 0.2436
La5 0.7365 0.6830 0.7564
La6 0.7365 0.8170 0.2564
Pm1 0.2868 0.6913 0.8899
Pm2 0.2868 0.8087 0.3899
Pm3 0.7132 0.1913 0.6101
Pm4 0.7132 0.3087 0.1101
Si1 0.0076 0.6137 0.1117
Si2 0.0076 0.8863 0.6117
Si3 0.4112 0.0189 0.1029
Si4 0.4112 0.4811 0.6029
Si5 0.5888 0.5189 0.3971
Si6 0.5888 0.9811 0.8971
Si7 0.9924 0.1137 0.3883
Si8 0.9924 0.3863 0.8883

---

Record 11
Structure and simulated XRD peak list of LaPm2Si4 (a GGA-PBE-relaxed structure; Cu Kα, 1.54184 Å).
Kinematic intensities with the Lorentz-polarization factor, no thermal factor.

Main lines, in order of rising 2θ (2θ = 5–70°):
d [Å]  Rel. int.
4.345  27.9
3.294  60.9
2.979  28.1
2.814  100.0
2.794  58.4
2.470  22.6
2.240  26.2
1.977  18.0
1.852  24.3
1.784  20.6
1.614  22.4
1.482  15.6

Structural model:
Lattice parameters (Å, degrees): 9.4230 9.4230 9.4230 155.78 152.50 36.97
Fractional positions:
La1 0.0000 0.0000 0.0000
Pm1 0.1821 0.6821 0.5000
Pm2 0.8179 0.3179 0.5000
Si1 0.3530 0.8530 0.5000
Si2 0.4334 0.4334 0.0000
Si3 0.5666 0.5666 0.0000
Si4 0.6470 0.1470 0.5000

---

Record 12
Structure and simulated XRD peak list of LaPmZnSi (a GGA-PBE-relaxed structure; Cu Kα, 1.54184 Å).
Kinematic intensities with the Lorentz-polarization factor, no thermal factor.

Main lines, in order of rising 2θ (2θ = 5–70°):
d [Å]  Rel. int.
3.349  44.7
2.900  100.0
2.857  60.9
2.843  22.9
2.352  36.9
2.344  20.4
2.173  23.3
2.072  20.2
1.823  16.2
1.725  22.9
1.677  34.4
1.522  14.2

Structural model:
Lattice parameters (Å, degrees): 4.1443 6.0874 6.0874 41.83 90.00 90.00
Fractional positions:
La1 0.0000 0.0000 0.0000
Pm1 0.5000 0.2872 0.2872
Zn1 0.5000 0.5848 0.5848
Si1 0.0000 0.7176 0.7176

---

Record 13
Structure and simulated XRD peak list of LaPm2Sm3 (a GGA-PBE-relaxed structure; Cu Kα, 1.54184 Å).
Kinematic intensities with the Lorentz-polarization factor, no thermal factor.

Main lines, in order of rising 2θ (2θ = 5–70°):
d [Å]  Rel. int.
2.987  100.0
2.594  17.0
2.584  33.7
1.831  24.3
1.827  12.1
1.563  14.5
1.559  28.8
1.494  12.5

Structural model:
Lattice parameters (Å, degrees): 8.2010 8.2010 5.1657 90.00 90.00 143.27
Fractional positions:
La1 0.0000 0.0000 0.0000
Pm1 0.3318 0.6682 0.0000
Pm2 0.6682 0.3318 0.0000
Sm1 0.1672 0.8328 0.5000
Sm2 0.5000 0.5000 0.5000
Sm3 0.8328 0.1672 0.5000

---

Record 14
Structure and simulated XRD peak list of La5Pm4Sm3 (a GGA-PBE-relaxed structure; Cu Kα, 1.54184 Å).
Kinematic intensities with the Lorentz-polarization factor, no thermal factor.

Main lines, in order of rising 2θ (2θ = 5–70°):
d [Å]  Rel. int.
3.500  12.2
3.136  68.6
2.994  100.0
2.960  54.5
2.946  70.2
2.849  30.2
2.712  12.9
2.253  12.2
2.088  39.6
1.791  17.4
1.710  16.7
1.691  15.0

Structural model:
Lattice parameters (Å, degrees): 9.7462 9.7462 9.0380 117.40 117.40 35.19
Fractional positions:
La1 0.0000 0.0000 0.0000
La2 0.3339 0.3339 0.0994
La3 0.3943 0.3943 0.5722
La4 0.6057 0.6057 0.4278
La5 0.6661 0.6661 0.9006
Pm1 0.0316 0.0316 0.7043
Pm2 0.1998 0.1998 0.6460
Pm3 0.8002 0.8002 0.3540
Pm4 0.9684 0.9684 0.2957
Sm1 0.1828 0.1828 0.2231
Sm2 0.5000 0.5000 0.0000
Sm3 0.8172 0.8172 0.7769